[1]
CaHg2Se4: computed powder diffraction line list (Cu Kα (λ = 1.5418 Å)), based on a structure optimized by DFT (GGA-PBE).
Kinematic intensities with the Lorentz-polarization factor, no thermal factor.

Cell and atoms:
Cell: 8.435 8.435 8.435 Å, 142.33 142.33 54.33°
Positions (direct):
1 Ca 0.000 0.000 0.000
2 Hg 0.405 0.405 0.000
3 Hg 0.595 0.595 0.000
4 Se 0.000 0.500 0.500
5 Se 0.238 0.238 0.000
6 Se 0.500 0.000 0.500
7 Se 0.762 0.762 0.000

Most intense lines, 2θ = 5–70°, by angle:
17.3 deg, I 100
23.1 deg, I 69
32.9 deg, I 85
34.1 deg, I 66
37.4 deg, I 32
43.1 deg, I 53
47.2 deg, I 31
48.1 deg, I 50

=====

[2]
Li3PdAu3: computed powder diffraction line list (Cu Kα (λ = 1.5418 Å)), based on a structure optimized by DFT (GGA-PBE).
Kinematic intensities with the Lorentz-polarization factor, no thermal factor.

Cell and atoms:
Cell: 5.700 6.506 6.338 Å, 90.00 93.99 90.00°
Positions (direct):
1 Li 0.232 0.000 0.245
2 Li 0.255 0.500 0.778
3 Li 0.262 0.000 0.722
4 Li 0.738 0.000 0.278
5 Li 0.745 0.500 0.222
6 Li 0.768 0.000 0.755
7 Pd 0.211 0.500 0.193
8 Pd 0.789 0.500 0.807
9 Au 0.000 0.260 0.500
10 Au 0.000 0.740 0.500
11 Au 0.500 0.221 0.000
12 Au 0.500 0.269 0.500
13 Au 0.500 0.731 0.500
14 Au 0.500 0.779 0.000

Most intense lines, 2θ = 5–70°, by angle:
21.7 deg, I 41
27.4 deg, I 59
28.2 deg, I 67
31.5 deg, I 55
39.8 deg, I 100
41.2 deg, I 51
42.2 deg, I 98
44.3 deg, I 34

=====

[3]
BaCeNi2P2: computed powder diffraction line list (Cu Kα (λ = 1.5418 Å)), based on a structure optimized by DFT (GGA-PBE).
Kinematic intensities with the Lorentz-polarization factor, no thermal factor.

Cell and atoms:
Cell: 4.013 4.013 8.576 Å, 90.00 90.00 120.00°
Positions (direct):
1 Ba 0.000 0.000 0.000
2 Ce 0.000 0.000 0.500
3 Ni 0.333 0.667 0.716
4 Ni 0.667 0.333 0.284
5 P 0.333 0.667 0.282
6 P 0.667 0.333 0.718

Most intense lines, 2θ = 5–70°, by angle:
10.3 deg, I 5
25.6 deg, I 22
33.2 deg, I 100
42.1 deg, I 10
45.2 deg, I 34
50.0 deg, I 11
57.2 deg, I 20
63.5 deg, I 18

=====

> What is the formula in the first record?

CaHg2Se4